[1]
Starting from a PBE-relaxed structure, the X-ray powder pattern of RbCu4F7 was calculated for copper Kα.

Largest 12 diffraction maxima, low angle first, 2θ from 10° to 90°:
2θ/deg  d [Å]  Rel. int.  index
11.05  8.003  23  0 2 0
24.13  3.688  36  0 3 1
26.99  3.303  43  1 3 0
29.70  3.008  100  1 2 1
33.03  2.712  34  0 5 1
35.19  2.551  97  0 0 2
43.00  2.103  47  2 0 0
45.32  2.001  35  0 8 0
56.73  1.623  40  2 0 2
58.64  1.574  29  0 8 2
64.25  1.450  22  2 8 0
75.42  1.260  25  2 8 2

Cell and atoms:
a = 4.2065 Å, b = 16.0069 Å, c = 5.1021 Å
α = 90.00°, β = 90.00°, γ = 90.00°
Space group Imm2 (No. 44)
Inequivalent atoms, fractional coordinates:
Rb 0.0000 0.0000 0.0000 [2 per cell]
Cu 0.0000 0.2604 0.5271 [4 per cell]
Cu 0.0000 0.3804 0.0099 [4 per cell]
F 0.0000 0.1361 0.5264 [4 per cell]
F 0.0000 0.2538 0.0274 [4 per cell]
F 0.0000 0.3793 0.5531 [4 per cell]
F 0.0000 0.5000 0.0479 [2 per cell]

[2]
Starting from a PBE-relaxed structure, the X-ray powder pattern of RbCu3F9 was calculated for copper Kα.

Largest 12 diffraction maxima, low angle first, 2θ from 10° to 90°:
2θ/deg  d [Å]  Rel. int.  index
23.15  3.842  20  0 0 1
27.09  3.292  50  1 0 1
27.97  3.190  100  2 0 0
33.71  2.659  32  1 1 1
47.31  1.921  17  0 0 2
48.95  1.861  16  3 0 1
49.49  1.842  34  2 2 0
55.86  1.646  27  2 0 2
57.32  1.607  15  3 1 1
57.80  1.595  16  4 0 0
70.88  1.330  20  2 2 2
77.83  1.227  13  4 0 2

Cell and atoms:
a = 7.3672 Å, b = 7.3672 Å, c = 3.8424 Å
α = 90.00°, β = 90.00°, γ = 120.00°
Space group P6/mmm (No. 191)
Inequivalent atoms, fractional coordinates:
Rb 0.0000 0.0000 0.0000 [1 per cell]
Cu 0.0000 0.5000 0.5000 [3 per cell]
F 0.0000 0.5000 0.0000 [3 per cell]
F 0.2041 0.4083 0.5000 [6 per cell]

[3]
Starting from a PBE-relaxed structure, the X-ray powder pattern of Rb5CuF8 was calculated for copper Kα.

Largest 12 diffraction maxima, low angle first, 2θ from 10° to 90°:
2θ/deg  d [Å]  Rel. int.  index
25.16  3.539  64  1 1 2
26.38  3.378  100  2 1 1
31.89  2.806  54  1 0 3
34.48  2.602  36  3 0 1
34.79  2.579  42  1 3 0
38.96  2.312  22  1 2 3
40.35  2.235  19  1 3 2
46.22  1.964  21  2 0 4
50.02  1.824  19  4 2 0
50.61  1.804  26  3 2 3
54.26  1.690  18  2 4 2
57.42  1.605  15  3 4 1

Cell and atoms:
a = 8.1554 Å, b = 8.1554 Å, c = 8.9651 Å
α = 90.00°, β = 90.00°, γ = 90.00°
Space group I-4 (No. 82)
Inequivalent atoms, fractional coordinates:
Rb 0.0000 0.0000 0.0000 [2 per cell]
Rb 0.1348 0.2780 0.6070 [8 per cell]
Cu 0.0000 0.5000 0.2500 [2 per cell]
F 0.0295 0.2816 0.2644 [8 per cell]
F 0.1062 0.3095 0.9126 [8 per cell]

[4]
Starting from a PBE-relaxed structure, the X-ray powder pattern of Rb2CuSF6 was calculated for copper Kα.

Largest 12 diffraction maxima, low angle first, 2θ from 10° to 90°:
2θ/deg  d [Å]  Rel. int.  index
28.05  3.182  100  1 1 2
30.54  2.927  37  2 0 0
35.59  2.522  26  2 0 2
36.12  2.487  26  0 0 4
43.74  2.070  34  2 2 0
48.01  1.895  15  2 0 4
52.77  1.735  32  3 1 2
57.98  1.591  23  2 2 4
60.12  1.539  16  1 1 6
63.58  1.463  10  4 0 0
75.36  1.261  10  4 0 4
77.25  1.235  14  3 1 6

Cell and atoms:
a = 5.8538 Å, b = 5.8538 Å, c = 9.9470 Å
α = 90.00°, β = 90.00°, γ = 90.00°
Space group I4/mmm (No. 139)
Inequivalent atoms, fractional coordinates:
Rb 0.0000 0.5000 0.2500 [4 per cell]
Cu 0.0000 0.0000 0.0000 [2 per cell]
S 0.0000 0.0000 0.5000 [2 per cell]
F 0.0000 0.0000 0.1880 [4 per cell]
F 0.2303 0.2303 0.5000 [8 per cell]

[5]
Starting from a PBE-relaxed structure, the X-ray powder pattern of RbTlCu2F5 was calculated for copper Kα.

Largest 12 diffraction maxima, low angle first, 2θ from 10° to 90°:
2θ/deg  d [Å]  Rel. int.  index
10.03  8.819  18  0 0 1
21.95  4.050  10  1 0 0
24.18  3.680  18  1 0 1
29.96  2.983  100  1 0 2
31.23  2.864  36  1 1 0
37.45  2.402  20  1 1 2
40.93  2.205  17  0 0 4
44.76  2.025  27  2 0 0
52.37  1.747  18  1 1 4
54.79  1.675  36  2 1 2
62.25  1.491  18  2 0 4
84.98  1.141  10  2 1 6

Cell and atoms:
a = 4.0499 Å, b = 4.0499 Å, c = 8.8193 Å
α = 90.00°, β = 90.00°, γ = 90.00°
Space group P4/mmm (No. 123)
Inequivalent atoms, fractional coordinates:
Rb 0.0000 0.0000 0.0000 [1 per cell]
Tl 0.0000 0.0000 0.5000 [1 per cell]
Cu 0.5000 0.5000 0.2498 [2 per cell]
F 0.0000 0.5000 0.2701 [4 per cell]
F 0.5000 0.5000 0.0000 [1 per cell]

[6]
Starting from a PBE-relaxed structure, the X-ray powder pattern of Rb2TlCu2F6 was calculated for copper Kα.

Largest 12 diffraction maxima, low angle first, 2θ from 10° to 90°:
2θ/deg  d [Å]  Rel. int.  index
16.35  5.423  21  1 0 1
18.04  4.918  43  0 1 2
23.66  3.761  33  1 0 4
27.15  3.284  79  0 1 5
27.44  3.250  100  1 1 0
36.54  2.459  30  0 2 4
38.99  2.310  42  2 0 5
48.34  1.883  34  1 2 5
48.52  1.876  21  3 0 0
49.32  1.848  27  1 1 9
56.64  1.625  22  2 2 0
63.92  1.456  14  3 1 5

Cell and atoms:
a = 6.5000 Å, b = 6.5000 Å, c = 20.2162 Å
α = 90.00°, β = 90.00°, γ = 120.00°
Space group R-3m (No. 166, hexagonal axes)
Inequivalent atoms, fractional coordinates:
Rb 0.0000 0.0000 0.2048 [6 per cell]
Tl 0.0000 0.0000 0.0000 [3 per cell]
Cu 0.0000 0.0000 0.4354 [6 per cell]
F 0.0040 0.5020 0.7643 [18 per cell]

[7]
Starting from a PBE-relaxed structure, the X-ray powder pattern of RbTlCuF6 was calculated for copper Kα.

Largest 12 diffraction maxima, low angle first, 2θ from 10° to 90°:
2θ/deg  d [Å]  Rel. int.  index
14.33  6.182  56  1 0 1
16.43  5.394  34  0 0 2
23.59  3.772  14  2 0 0
26.51  3.362  100  1 2 1
27.18  3.281  17  0 1 3
27.45  3.250  38  1 0 3
27.74  3.216  32  0 2 2
28.88  3.091  50  2 0 2
35.60  2.522  27  1 2 3
43.30  2.089  23  3 2 1
47.24  1.924  32  2 2 4
54.60  1.681  18  2 4 2

Cell and atoms:
a = 7.5437 Å, b = 8.0120 Å, c = 10.7886 Å
α = 90.00°, β = 90.00°, γ = 90.00°
Space group Imma (No. 74)
Inequivalent atoms, fractional coordinates:
Rb 0.0000 0.2500 0.0708 [4 per cell]
Tl 0.0000 0.0000 0.5000 [4 per cell]
Cu 0.2500 0.2500 0.7500 [4 per cell]
F 0.0000 0.2500 0.4017 [4 per cell]
F 0.0000 0.2500 0.7873 [4 per cell]
F 0.2266 0.0687 0.6161 [16 per cell]

[8]
Starting from a PBE-relaxed structure, the X-ray powder pattern of Rb2TmCuF6 was calculated for copper Kα.

Largest 12 diffraction maxima, low angle first, 2θ from 10° to 90°:
2θ/deg  d [Å]  Rel. int.  index
17.15  5.171  29  1 1 1
18.76  4.730  12  0 2 0
26.65  3.345  62  0 2 2
28.92  3.087  100  2 2 0
37.99  2.369  23  0 0 4
38.10  2.362  23  0 4 0
44.47  2.037  15  4 0 0
48.49  1.877  46  2 4 2
52.60  1.740  19  4 2 2
54.90  1.672  15  0 4 4
59.93  1.544  22  4 4 0
76.24  1.249  13  2 4 6

Cell and atoms:
a = 8.1488 Å, b = 9.4471 Å, c = 9.4743 Å
α = 90.00°, β = 90.00°, γ = 90.00°
Space group Fmmm (No. 69)
Inequivalent atoms, fractional coordinates:
Rb 0.2500 0.2500 0.2500 [8 per cell]
Tm 0.0000 0.0000 0.0000 [4 per cell]
Cu 0.0000 0.0000 0.5000 [4 per cell]
F 0.0000 0.0000 0.2246 [8 per cell]
F 0.0000 0.2253 0.0000 [8 per cell]
F 0.2355 0.0000 0.5000 [8 per cell]

[9]
Starting from a PBE-relaxed structure, the X-ray powder pattern of RbUCu2F8 was calculated for copper Kα.

Largest 12 diffraction maxima, low angle first, 2θ from 10° to 90°:
2θ/deg  d [Å]  Rel. int.  index
10.72  8.249  16  0 0 3
19.73  4.499  32  1 0 1
20.70  4.291  20  0 1 2
24.19  3.679  100  1 0 4
26.53  3.360  22  0 1 5
33.94  2.642  46  1 1 0
35.01  2.563  33  0 1 8
40.55  2.224  24  2 -1 6
42.11  2.146  20  0 2 4
47.74  1.905  16  2 -1 9
55.15  1.665  20  2 1 4
56.62  1.626  17  1 1 12

Cell and atoms:
a = 5.2832 Å, b = 5.2832 Å, c = 24.7473 Å
α = 90.00°, β = 90.00°, γ = 120.00°
Space group R-3 (No. 148, hexagonal axes)
Inequivalent atoms, fractional coordinates:
Rb 0.0000 0.0000 0.0000 [3 per cell]
U 0.0000 0.0000 0.5000 [3 per cell]
Cu 0.0000 0.0000 0.2704 [6 per cell]
F 0.0000 0.0000 0.3453 [6 per cell]
F 0.0090 0.3621 0.8833 [18 per cell]